1.
The following is a calculated PXRD pattern of Rb2PdSeS2. It was derived from a DFT-relaxed cell (PBE, OQMD), using Cu Kα (weighted mean of Kα1 and Kα2).
No peak broadening, texture or thermal motion is included.

Largest 10 diffraction maxima, by angle, 2θ = 10–90°:
2θ (°)  I/Imax
14.93  69.8
22.11  22.4
25.58  100.0
27.71  36.5
28.94  64.6
29.23  37.5
32.22  37.6
34.06  32.0
39.00  37.3
50.55  23.6

Lattice parameters (Å, degrees): 7.100 7.100 9.215 110.43 110.43 58.75
Fractional coordinates of all 12 atoms:
Rb: 0.087 0.087 0.371
Rb: 0.296 0.296 0.159
Rb: 0.704 0.704 0.841
Rb: 0.913 0.913 0.629
Pd: 0.411 0.411 0.851
Pd: 0.589 0.589 0.149
Se: 0.402 0.402 0.582
Se: 0.598 0.598 0.418
S: 0.209 0.209 0.759
S: 0.232 0.768 0.000
S: 0.768 0.232 0.000
S: 0.791 0.791 0.241

2.
The following is a calculated PXRD pattern of RbZrPdSeS2. It was derived from a DFT-relaxed cell (PBE, OQMD), using Cu Kα (weighted mean of Kα1 and Kα2).
No peak broadening, texture or thermal motion is included.

Largest 10 diffraction maxima, by angle, 2θ = 10–90°:
2θ (°)  I/Imax
10.95  28.4
11.58  100.0
23.27  23.2
27.45  24.6
29.09  24.2
31.04  38.3
32.18  59.3
36.23  44.8
44.60  22.9
47.38  30.5

Lattice parameters (Å, degrees): 8.746 3.836 9.748 90.00 112.55 90.00
Fractional coordinates of all 12 atoms:
Rb: 0.247 0.250 0.269
Rb: 0.753 0.750 0.731
Zr: 0.318 0.750 0.838
Zr: 0.682 0.250 0.162
Pd: 0.105 0.250 0.590
Pd: 0.895 0.750 0.410
Se: 0.110 0.250 0.861
Se: 0.890 0.750 0.139
S: 0.250 0.750 0.559
S: 0.466 0.750 0.133
S: 0.534 0.250 0.867
S: 0.750 0.250 0.441